No. 1
Nb3TlI6: simulated powder diffraction line list (Cu Kα (weighted mean of Kα1 and Kα2)), based on a GGA-PBE-relaxed structure.

Most intense lines, 10° ≤ 2θ ≤ 80°, in order of rising 2θ:
11.80 deg, rel. 24
17.19 deg, rel. 100
27.19 deg, rel. 29
27.34 deg, rel. 20
31.95 deg, rel. 16
32.77 deg, rel. 20
34.79 deg, rel. 17
35.91 deg, rel. 20
37.24 deg, rel. 27
40.61 deg, rel. 16

```
Nb3TlI6
1.0
-5.158 5.158 5.465
5.158 -5.158 5.465
5.158 5.158 -5.465
Nb Tl I
3 1 6
Cartesian
0.000 0.000 0.000
5.158 0.000 2.733
0.000 5.158 2.733
0.000 0.000 5.465
5.158 1.718 0.000
0.000 0.000 2.550
1.718 5.158 0.000
3.439 0.000 5.465
0.000 0.000 8.380
0.000 3.439 5.465
```


No. 2
TbNdNi2I2: simulated powder diffraction line list (Cu Kα (weighted mean of Kα1 and Kα2)), based on a GGA-PBE-relaxed structure.

Most intense lines, 10° ≤ 2θ ≤ 80°, in order of rising 2θ:
26.14 deg, rel. 53
29.13 deg, rel. 30
33.57 deg, rel. 100
39.04 deg, rel. 26
44.16 deg, rel. 47
44.81 deg, rel. 19
52.04 deg, rel. 9
56.60 deg, rel. 22
64.73 deg, rel. 25
74.46 deg, rel. 19

```
TbNdNi2I2
1.0
4.101 0.000 0.000
-2.051 3.552 0.000
0.000 0.000 12.138
Tb Nd Ni I
1 1 2 2
Cartesian
0.000 0.000 0.000
0.000 0.000 8.460
0.000 2.368 10.425
2.051 1.184 10.282
0.000 2.368 6.242
2.051 1.184 2.142
```


No. 3
NdSmI2O2: simulated powder diffraction line list (Cu Kα (weighted mean of Kα1 and Kα2)), based on a GGA-PBE-relaxed structure.

Most intense lines, 10° ≤ 2θ ≤ 80°, in order of rising 2θ:
29.30 deg, rel. 100
31.25 deg, rel. 43
36.61 deg, rel. 10
44.78 deg, rel. 20
50.71 deg, rel. 16
54.42 deg, rel. 35
59.44 deg, rel. 7
60.78 deg, rel. 7
73.04 deg, rel. 7
74.06 deg, rel. 7

```
NdSmI2O2
1.0
4.048 0.000 0.000
0.000 4.048 0.000
0.000 0.000 9.261
Nd Sm I O
1 1 2 2
Cartesian
0.000 0.000 0.000
2.024 2.024 2.316
0.000 0.000 4.221
2.024 2.024 7.360
0.000 2.024 1.186
2.024 0.000 1.186
```